No. 1
Simulated X-ray diffraction stick pattern
Compound: Ce8GeIr6
Radiation: Cu Kα
Structure: a DFT-relaxed cell (PBE, Alexandria)
Neutral-atom scattering factors, no anomalous dispersion.

Structural model:
abc: 7.276 7.276 7.276
angles: 88.94 88.94 88.94
Fractional coordinates of all 15 atoms:
Ce  0.100  0.364  0.744
Ce  0.236  0.236  0.236
Ce  0.256  0.900  0.636
Ce  0.364  0.744  0.100
Ce  0.636  0.256  0.900
Ce  0.744  0.100  0.364
Ce  0.764  0.764  0.764
Ce  0.900  0.636  0.256
Ge  0.000  0.000  0.000
Ir  0.239  0.571  0.418
Ir  0.418  0.239  0.571
Ir  0.429  0.582  0.761
Ir  0.571  0.418  0.239
Ir  0.582  0.761  0.429
Ir  0.761  0.429  0.582

Peak list (10 most intense, 10° ≤ 2θ ≤ 80°, in order of falling intensity)
Position (°2θ)  Rel. int.
12.17  100.0
41.23  98.3
30.19  51.9
37.39  42.2
38.95  38.1
36.46  25.4
42.26  24.9
47.05  23.1
30.38  22.5
63.20  20.5



No. 2
Simulated X-ray diffraction stick pattern
Compound: Na2B3C
Radiation: Cu Kα
Structure: a DFT-relaxed cell (PBE, Alexandria)
Neutral-atom scattering factors, no anomalous dispersion.

Structural model:
abc: 5.920 4.988 9.132
angles: 90.00 108.88 90.00
Fractional coordinates of all 24 atoms:
Na  0.000  0.000  0.000
Na  0.000  0.500  0.500
Na  0.249  0.001  0.498
Na  0.249  0.499  0.998
Na  0.500  0.000  0.000
Na  0.500  0.500  0.500
Na  0.751  0.501  0.002
Na  0.751  0.999  0.502
B  0.115  0.664  0.249
B  0.115  0.836  0.749
B  0.359  0.193  0.249
B  0.359  0.307  0.749
B  0.377  0.681  0.749
B  0.377  0.819  0.249
B  0.623  0.181  0.751
B  0.623  0.319  0.251
B  0.641  0.693  0.251
B  0.641  0.807  0.751
B  0.885  0.164  0.251
B  0.885  0.336  0.751
C  0.118  0.176  0.750
C  0.118  0.324  0.250
C  0.882  0.676  0.750
C  0.882  0.824  0.250

Peak list (10 most intense, 10° ≤ 2θ ≤ 80°, in order of falling intensity)
Position (°2θ)  Rel. int.
41.16  100.0
41.82  96.6
35.26  23.0
78.31  22.5
64.25  17.3
79.65  17.2
75.91  12.5
55.82  12.4
62.79  9.5
76.36  8.7



No. 3
Simulated X-ray diffraction stick pattern
Compound: K5PtS4
Radiation: Cu Kα
Structure: a DFT-relaxed cell (PBE, Alexandria)
Neutral-atom scattering factors, no anomalous dispersion.

Structural model:
abc: 9.237 9.237 7.302
angles: 91.81 91.81 28.24
Fractional coordinates of all 10 atoms:
K  0.000  0.000  0.000
K  0.312  0.312  0.376
K  0.374  0.374  0.875
K  0.626  0.626  0.125
K  0.688  0.688  0.624
Pt  0.000  0.000  0.500
S  0.129  0.129  0.387
S  0.471  0.471  0.292
S  0.529  0.529  0.708
S  0.871  0.871  0.613

Peak list (10 most intense, 10° ≤ 2θ ≤ 80°, in order of falling intensity)
Position (°2θ)  Rel. int.
32.06  100.0
12.13  77.4
40.03  47.2
24.75  41.1
23.81  40.0
35.38  31.3
15.91  22.1
23.65  22.0
42.83  21.9
52.16  21.5



No. 4
Simulated X-ray diffraction stick pattern
Compound: AcYTm4
Radiation: Cu Kα
Structure: a DFT-relaxed cell (PBE, Alexandria)
Neutral-atom scattering factors, no anomalous dispersion.

Structural model:
abc: 6.315 6.787 9.274
angles: 84.40 89.94 89.64
Fractional coordinates of all 12 atoms:
Ac  0.170  0.171  0.089
Ac  0.830  0.829  0.911
Y  0.338  0.667  0.089
Y  0.662  0.333  0.911
Tm  0.165  0.829  0.420
Tm  0.171  0.499  0.742
Tm  0.333  0.998  0.737
Tm  0.336  0.338  0.424
Tm  0.664  0.662  0.576
Tm  0.667  0.002  0.263
Tm  0.829  0.501  0.258
Tm  0.835  0.171  0.580

Peak list (10 most intense, 10° ≤ 2θ ≤ 80°, in order of falling intensity)
Position (°2θ)  Rel. int.
32.34  100.0
32.45  50.6
31.25  36.5
28.25  35.9
50.05  19.8
60.13  16.7
60.76  12.6
60.94  12.0
42.55  11.7
56.22  10.4



No. 5
Simulated X-ray diffraction stick pattern
Compound: Na8B13C3
Radiation: Cu Kα
Structure: a DFT-relaxed cell (PBE, Alexandria)
Neutral-atom scattering factors, no anomalous dispersion.

Structural model:
abc: 9.096 9.096 5.112
angles: 90.00 90.00 142.28
Fractional coordinates of all 24 atoms:
Na  0.124  0.876  0.000
Na  0.126  0.374  0.502
Na  0.374  0.126  0.502
Na  0.375  0.625  0.002
Na  0.625  0.375  0.002
Na  0.626  0.874  0.502
Na  0.874  0.626  0.502
Na  0.876  0.124  0.000
B  0.000  0.000  0.341
B  0.000  0.000  0.682
B  0.000  0.500  0.166
B  0.000  0.500  0.837
B  0.250  0.750  0.337
B  0.250  0.750  0.666
B  0.263  0.263  0.155
B  0.500  0.000  0.166
B  0.500  0.000  0.837
B  0.500  0.500  0.664
B  0.737  0.737  0.155
B  0.750  0.250  0.337
B  0.750  0.250  0.666
C  0.256  0.256  0.837
C  0.500  0.500  0.334
C  0.744  0.744  0.837

Peak list (10 most intense, 10° ≤ 2θ ≤ 80°, in order of falling intensity)
Position (°2θ)  Rel. int.
41.13  100.0
41.99  24.1
35.21  12.4
76.13  12.4
63.05  11.8
78.67  11.4
55.90  10.5
78.23  7.4
35.11  6.9
63.25  5.9



No. 6
Simulated X-ray diffraction stick pattern
Compound: Pm7AgS5
Radiation: Cu Kα
Structure: a DFT-relaxed cell (PBE, Alexandria)
Neutral-atom scattering factors, no anomalous dispersion.

Structural model:
abc: 4.024 24.348 6.972
angles: 90.00 106.70 90.00
Fractional coordinates of all 26 atoms:
Pm  0.030  0.250  0.058
Pm  0.136  0.537  0.273
Pm  0.136  0.963  0.273
Pm  0.319  0.173  0.638
Pm  0.319  0.327  0.638
Pm  0.411  0.606  0.822
Pm  0.411  0.894  0.822
Pm  0.589  0.106  0.178
Pm  0.589  0.394  0.178
Pm  0.681  0.673  0.362
Pm  0.681  0.827  0.362
Pm  0.864  0.037  0.727
Pm  0.864  0.463  0.727
Pm  0.970  0.750  0.942
Ag  0.296  0.750  0.593
Ag  0.704  0.250  0.407
S  0.045  0.641  0.090
S  0.045  0.859  0.090
S  0.226  0.070  0.452
S  0.226  0.430  0.452
S  0.500  0.000  0.000
S  0.500  0.500  0.000
S  0.774  0.570  0.548
S  0.774  0.930  0.548
S  0.955  0.141  0.910
S  0.955  0.359  0.910

Peak list (10 most intense, 10° ≤ 2θ ≤ 80°, in order of falling intensity)
Position (°2θ)  Rel. int.
28.94  100.0
30.84  88.7
31.94  65.9
27.40  44.4
54.44  34.3
29.56  34.1
44.78  31.9
45.06  31.1
53.29  24.1
43.99  23.5



Q: Which formula does entry 2 have?
A: Na2B3C